For NaGaTe2, a crystal structure in Alexandria, relaxed with PBE gives the computed X-ray diffraction stick pattern in this record (λ = 1.5418 Å (Cu Kα)).
Lines closer than 0.1° are merged.

Structural model:
```
data_NaGaTe2
_chemical_formula_sum 'Na2 Ga2 Te4'
_space_group_name_H-M_alt 'P -1'
_space_group_IT_number 2
_space_group_name_Hall '-P 1'
_cell_length_a 4.3138
_cell_length_b 6.9824
_cell_length_c 8.9466
_cell_angle_alpha 81.44
_cell_angle_beta 76.09
_cell_angle_gamma 89.79
loop_
_atom_site_label
_atom_site_type_symbol
_atom_site_fract_x
_atom_site_fract_y
_atom_site_fract_z
Na1 Na 0.1807 0.2342 0.1503
Ga1 Ga 0.4112 0.3693 0.6807
Te1 Te 0.1753 0.7659 0.1448
Te2 Te 0.4457 0.7487 0.5956
```

Principal peaks in the range 10 to 90 degrees two-theta, in order of falling intensity:
| 2theta | I_rel |
| --- | --- |
| 25.85 | 100 |
| 22.67 | 33 |
| 25.30 | 27 |
| 21.24 | 26 |
| 42.70 | 24 |
| 41.88 | 20 |
| 33.35 | 19 |
| 38.66 | 17 |
| 38.52 | 17 |
| 15.20 | 16 |


For Na3Y3GaTe8, a crystal structure in Alexandria, relaxed with PBE gives the computed X-ray diffraction stick pattern in this record (λ = 1.5418 Å (Cu Kα)).
Lines closer than 0.1° are merged.

Structural model:
```
data_Na3Y3GaTe8
_chemical_formula_sum 'Na6 Y6 Ga2 Te16'
_space_group_name_H-M_alt 'C 1 2/m 1'
_space_group_IT_number 12
_space_group_name_Hall '-C 2y'
_cell_length_a 14.9546
_cell_length_b 8.6255
_cell_length_c 9.2331
_cell_angle_alpha 90.00
_cell_angle_beta 122.74
_cell_angle_gamma 90.00
loop_
_atom_site_label
_atom_site_type_symbol
_atom_site_fract_x
_atom_site_fract_y
_atom_site_fract_z
Na1 Na 0.0000 0.0000 0.0000
Na2 Na 0.2500 0.2500 0.0000
Y1 Y 0.0000 0.5000 0.5000
Y2 Y 0.2500 0.2500 0.5000
Ga1 Ga 0.0000 0.0000 0.5000
Te1 Te 0.0055 0.2388 0.2779
Te2 Te 0.2317 0.0000 0.7209
Te3 Te 0.2446 0.5000 0.7335
```

Principal peaks in the range 10 to 90 degrees two-theta, in order of falling intensity:
| 2theta | I_rel |
| --- | --- |
| 28.38 | 100 |
| 39.22 | 38 |
| 41.87 | 35 |
| 11.39 | 27 |
| 25.03 | 22 |
| 51.36 | 18 |
| 68.34 | 15 |
| 64.58 | 14 |
| 58.71 | 11 |
| 49.45 | 11 |